(1)
This entry pairs a crystal structure of Nd2Th2As5 with its calculated powder X-ray diffraction pattern. Radiation: copper Kα. Structure: a cell relaxed with GGA-PBE.
Intensities are scaled so that the largest is 100.

Crystal structure
a = 14.831 Å, b = 7.930 Å, c = 7.973 Å
α = 90.00°, β = 90.00°, γ = 90.00°
Space group Cmce (No. 64)
Unique sites:
Nd 0.000 0.155 0.159 (multiplicity 8)
Th 0.195 0.000 0.500 (multiplicity 8)
As 0.000 0.000 0.500 (multiplicity 4)
As 0.142 0.157 0.846 (multiplicity 16)

The 6 most intense peaks (15 to 90 degrees two-theta), by intensity:
- 2θ = 36.33°, d = 2.473 Å, intensity 100.0
- 2θ = 34.16°, d = 2.624 Å, intensity 79.1
- 2θ = 30.95°, d = 2.890 Å, intensity 74.6
- 2θ = 23.97°, d = 3.712 Å, intensity 74.2
- 2θ = 31.83°, d = 2.811 Å, intensity 68.1
- 2θ = 36.16°, d = 2.484 Å, intensity 63.6

(2)
This entry pairs a crystal structure of NdZn3As3 with its calculated powder X-ray diffraction pattern. Radiation: copper Kα. Structure: a cell relaxed with GGA-PBE.
Intensities are scaled so that the largest is 100.

Crystal structure
a = 20.496 Å, b = 7.298 Å, c = 4.196 Å
α = 90.00°, β = 90.00°, γ = 90.00°
Space group Ama2 (No. 40)
Unique sites:
Nd 0.000 0.000 0.000 (multiplicity 4)
Zn 0.130 0.168 0.493 (multiplicity 8)
Zn 0.250 0.306 0.111 (multiplicity 4)
As 0.088 0.334 0.997 (multiplicity 8)
As 0.250 0.136 0.618 (multiplicity 4)

The 6 most intense peaks (15 to 90 degrees two-theta), by intensity:
- 2θ = 25.97°, d = 3.431 Å, intensity 100.0
- 2θ = 36.05°, d = 2.491 Å, intensity 97.1
- 2θ = 30.11°, d = 2.968 Å, intensity 92.3
- 2θ = 42.98°, d = 2.104 Å, intensity 79.6
- 2θ = 32.91°, d = 2.722 Å, intensity 37.3
- 2θ = 47.06°, d = 1.931 Å, intensity 36.8

(3)
This entry pairs a crystal structure of Nd2ZrAs3 with its calculated powder X-ray diffraction pattern. Radiation: copper Kα. Structure: a cell relaxed with GGA-PBE.
Intensities are scaled so that the largest is 100.

Crystal structure
a = 4.148 Å, b = 4.148 Å, c = 17.447 Å
α = 90.00°, β = 90.00°, γ = 90.00°
Space group I4/mmm (No. 139)
Unique sites:
Nd 0.000 0.000 0.166 (multiplicity 4)
Zr 0.000 0.000 0.500 (multiplicity 2)
As 0.000 0.000 0.000 (multiplicity 2)
As 0.000 0.000 0.341 (multiplicity 4)

The 6 most intense peaks (15 to 90 degrees two-theta), by intensity:
- 2θ = 30.48°, d = 2.933 Å, intensity 100.0
- 2θ = 43.84°, d = 2.065 Å, intensity 71.6
- 2θ = 30.75°, d = 2.908 Å, intensity 47.8
- 2θ = 54.33°, d = 1.689 Å, intensity 37.8
- 2θ = 43.64°, d = 2.074 Å, intensity 37.0
- 2θ = 80.29°, d = 1.196 Å, intensity 24.0

(4)
This entry pairs a crystal structure of NiAs3 with its calculated powder X-ray diffraction pattern. Radiation: copper Kα. Structure: a cell relaxed with GGA-PBE.
Intensities are scaled so that the largest is 100.

Crystal structure
a = 6.315 Å, b = 3.671 Å, c = 6.330 Å
α = 90.00°, β = 109.74°, γ = 90.00°
Space group C2/m (No. 12)
Unique sites:
Ni 0.000 0.000 0.000 (multiplicity 2)
As 0.000 0.500 0.500 (multiplicity 2)
As 0.237 0.500 0.213 (multiplicity 4)

The 6 most intense peaks (15 to 90 degrees two-theta), by intensity:
- 2θ = 34.71°, d = 2.585 Å, intensity 100.0
- 2θ = 49.90°, d = 1.828 Å, intensity 44.4
- 2θ = 49.67°, d = 1.836 Å, intensity 12.4
- 2θ = 62.00°, d = 1.497 Å, intensity 11.9
- 2θ = 83.73°, d = 1.155 Å, intensity 10.1
- 2θ = 50.15°, d = 1.819 Å, intensity 9.8